For Th3AlCu2, a DFT-relaxed cell (PBE, Alexandria) gives the computed X-ray diffraction stick pattern in this record (Cu Kα).

Top 10 peaks for 2θ = 15–90°, most intense first:
(1 1 3), 27.89°, I 100; (3 0 0), 37.11°, I 49; (1 1 6), 42.46°, I 25; (2 2 3), 47.06°, I 24; (4 1 3), 61.40°, I 22; (3 0 6), 52.93°, I 13; (1 1 9), 60.37°, I 12; (4 1 6), 70.57°, I 10; (2 2 6), 57.64°, I 10; (4 1 9), 84.88°, I 9

Atomic structure:
abc: 8.3916 8.3916 14.8252
angles: 90.00 90.00 120.00
Space group R-3c (No. 167, hexagonal axes)
Inequivalent atoms, fractional coordinates:
Th1 0.0000 0.3232 0.2500 x18
Al1 0.0000 0.0000 0.0000 x6
Cu1 0.0000 0.0000 0.1655 x12